Record 1
This entry pairs a crystal structure of Eu5Si3O12F with its calculated powder X-ray diffraction pattern. Radiation: a wavelength of 1.5418 Å. Structure: a structure optimized by DFT (GGA-PBE).
Lines closer than 0.1° are merged.

Structure:
abc: 9.7039 9.7039 7.1064
angles: 90.00 90.00 120.00
Fractional positions:
Eu 0.0041 0.2536 0.2500
Eu 0.2494 0.9959 0.2500
Eu 0.2536 0.2494 0.7500
Eu 0.3333 0.6667 0.0002
Eu 0.3333 0.6667 0.4998
Eu 0.6667 0.3333 0.9998
Eu 0.6667 0.3333 0.5002
Eu 0.7464 0.7506 0.2500
Eu 0.7506 0.0041 0.7500
Eu 0.9959 0.7464 0.7500
Si 0.0282 0.3963 0.7500
Si 0.3681 0.9718 0.7500
Si 0.3963 0.3681 0.2500
Si 0.6037 0.6319 0.7500
Si 0.6319 0.0282 0.2500
Si 0.9718 0.6037 0.2500
O 0.0902 0.3401 0.5654
O 0.0902 0.3401 0.9346
O 0.1258 0.5934 0.7500
O 0.1646 0.6779 0.2500
O 0.2499 0.9098 0.5654
O 0.2499 0.9098 0.9346
O 0.3221 0.4867 0.2500
O 0.3401 0.2499 0.0654
O 0.3401 0.2499 0.4346
O 0.4066 0.5324 0.7500
O 0.4676 0.8742 0.7500
O 0.4867 0.1646 0.7500
O 0.5133 0.8354 0.2500
O 0.5324 0.1258 0.2500
O 0.5934 0.4676 0.2500
O 0.6599 0.7501 0.5654
O 0.6599 0.7501 0.9346
O 0.6779 0.5133 0.7500
O 0.7501 0.0902 0.0654
O 0.7501 0.0902 0.4346
O 0.8354 0.3221 0.7500
O 0.8742 0.4066 0.2500
O 0.9098 0.6599 0.0654
O 0.9098 0.6599 0.4346
F 0.0000 0.0000 0.2500
F 0.0000 0.0000 0.7500

Most intense lines, 10 to 80 degrees two-theta, sorted by position:
2θ (°), d/Å, Rel. int.
21.1, 4.202, 40
22.2, 4.007, 42
27.2, 3.273, 43
28.1, 3.176, 40
30.8, 2.900, 100
31.2, 2.867, 85
31.9, 2.801, 59
45.3, 2.004, 40

---

Record 2
This entry pairs a crystal structure of BaZnSn2 with its calculated powder X-ray diffraction pattern. Radiation: a wavelength of 1.5418 Å. Structure: a structure optimized by DFT (GGA-PBE).
Lines closer than 0.1° are merged.

Structure:
abc: 10.0332 10.0332 4.8194
angles: 90.00 90.00 148.03
Fractional positions:
Ba 0.1040 0.8960 0.7500
Ba 0.8960 0.1040 0.2500
Zn 0.4817 0.5183 0.7500
Zn 0.5183 0.4817 0.2500
Sn 0.2440 0.7560 0.2500
Sn 0.3376 0.6624 0.7500
Sn 0.6624 0.3376 0.2500
Sn 0.7560 0.2440 0.7500

Most intense lines, 10 to 80 degrees two-theta, sorted by position:
2θ (°), d/Å, Rel. int.
26.1, 3.409, 14
28.2, 3.163, 100
32.4, 2.763, 35
33.9, 2.645, 27
37.3, 2.410, 28
47.4, 1.917, 11
50.2, 1.816, 24
55.3, 1.662, 15

---

Record 3
This entry pairs a crystal structure of LuScZn2 with its calculated powder X-ray diffraction pattern. Radiation: a wavelength of 1.5418 Å. Structure: a structure optimized by DFT (GGA-PBE).
Lines closer than 0.1° are merged.

Structure:
abc: 4.8465 4.8465 4.8465
angles: 60.00 60.00 60.00
Fractional positions:
Lu 0.0000 0.0000 0.0000
Sc 0.5000 0.5000 0.5000
Zn 0.2500 0.2500 0.2500
Zn 0.7500 0.7500 0.7500

Most intense lines, 10 to 80 degrees two-theta, sorted by position:
2θ (°), d/Å, Rel. int.
22.5, 3.957, 29
26.0, 3.427, 5
37.1, 2.423, 100
43.8, 2.067, 16
53.5, 1.713, 17
58.7, 1.572, 7
66.9, 1.399, 34
79.0, 1.212, 10

---

Record 4
This entry pairs a crystal structure of SmGa2Ni3 with its calculated powder X-ray diffraction pattern. Radiation: a wavelength of 1.5418 Å. Structure: a structure optimized by DFT (GGA-PBE).
Lines closer than 0.1° are merged.

Structure:
abc: 8.8116 8.8116 4.1083
angles: 90.00 90.00 120.00
Fractional positions:
Sm 0.0000 0.0000 0.0000
Sm 0.3333 0.6667 0.5000
Sm 0.6667 0.3333 0.5000
Ga 0.0000 0.4823 0.0000
Ga 0.0000 0.7281 0.5000
Ga 0.2719 0.2719 0.5000
Ga 0.4823 0.0000 0.0000
Ga 0.5177 0.5177 0.0000
Ga 0.7281 0.0000 0.5000
Ni 0.0000 0.2942 0.5000
Ni 0.1745 0.8041 0.0000
Ni 0.1959 0.3704 0.0000
Ni 0.2942 0.0000 0.5000
Ni 0.3704 0.1959 0.0000
Ni 0.6296 0.8255 0.0000
Ni 0.7058 0.7058 0.5000
Ni 0.8041 0.1745 0.0000
Ni 0.8255 0.6296 0.0000

Most intense lines, 10 to 80 degrees two-theta, sorted by position:
2θ (°), d/Å, Rel. int.
32.0, 2.796, 73
35.3, 2.544, 41
38.1, 2.361, 100
41.0, 2.203, 64
41.8, 2.163, 75
44.1, 2.054, 55
46.8, 1.941, 37
61.7, 1.502, 37